For CsLaNbN3, a crystal structure in Alexandria, relaxed with GGA-PBE gives the theoretical powder X-ray diffraction pattern in this record (Cu Kα (weighted mean of Kα1 and Kα2)).

Peak list (10 most intense, 2θ from 10° to 90°, by intensity)
(hkl)	d (Å)	intensity
1 1 -2	2.998	100
3 1 0	3.062	86
4 0 -2	3.090	47
2 0 2	3.261	44
6 0 0	2.297	23
0 2 0	2.054	23
0 0 1	8.491	19
7 1 -2	1.792	19
4 2 -2	1.711	17
2 2 2	1.738	14

Structure:
Cell lengths 14.256, 4.108, 8.784 Å; angles 90.00, 104.83, 90.00 degrees
Space group C2/m (No. 12)
Symmetry-distinct sites (fractional):
1 Cs 0.145 0.000 0.064
2 La 0.160 0.000 0.580
3 Nb 0.009 0.500 0.322
4 N 0.012 0.000 0.340
5 N 0.133 0.500 0.759
6 N 0.160 0.500 0.390



For NaNbTe, a crystal structure in Alexandria, relaxed with GGA-PBE gives the theoretical powder X-ray diffraction pattern in this record (Cu Kα (weighted mean of Kα1 and Kα2)).

Peak list (10 most intense, 2θ from 10° to 90°, by intensity)
(hkl)	d (Å)	intensity
1 0 1	3.639	100
1 2 3	1.959	48
0 0 6	2.860	47
1 1 0	2.994	46
1 1 4	2.455	46
0 1 3	3.779	44
0 2 4	2.171	44
0 0 2	8.579	38
1 0 7	2.048	33
0 2 2	2.415	25

Structure:
Cell lengths 3.724, 5.034, 17.158 Å; angles 90.00, 90.00, 90.00 degrees
Space group Immm (No. 71)
Symmetry-distinct sites (fractional):
1 Na 0.000 0.000 0.164
2 Nb 0.000 0.266 0.500
3 Te 0.000 0.000 0.353



For AcNd12Y7, a crystal structure in Alexandria, relaxed with GGA-PBE gives the theoretical powder X-ray diffraction pattern in this record (Cu Kα (weighted mean of Kα1 and Kα2)).

Peak list (10 most intense, 2θ from 10° to 90°, by intensity)
(hkl)	d (Å)	intensity
1 3 1	2.943	100
2 1 4	2.823	55
4 -1 2	2.798	51
0 1 5	3.002	28
5 2 0	1.731	28
0 3 3	2.963	26
2 0 5	2.705	25
1 1 6	2.403	17
5 -4 6	1.748	16
4 -3 4	2.378	14

Structure:
Cell lengths 12.4781, 12.4781, 15.6260 Å; angles 90.00, 90.00, 120.00 degrees
Space group R-3 (No. 148, hexagonal axes)
Symmetry-distinct sites (fractional):
1 Ac 0.0000 0.0000 0.0000
2 Nd 0.0105 0.5745 0.7101
3 Nd 0.0539 0.4620 0.0887
4 Y 0.0000 0.0000 0.5000
5 Y 0.0461 0.8596 0.7994



For Li2Cd5Hg2, a crystal structure in Alexandria, relaxed with GGA-PBE gives the theoretical powder X-ray diffraction pattern in this record (Cu Kα (weighted mean of Kα1 and Kα2)).

Peak list (10 most intense, 2θ from 10° to 90°, by intensity)
(hkl)	d (Å)	intensity
4 2 0	2.931	100
4 0 2	2.425	71
0 2 2	2.323	63
0 1 1	4.646	33
4 1 1	3.212	32
7 1 0	2.415	22
7 3 2	1.538	17
8 2 2	1.606	16
8 0 0	2.223	15
3 1 2	2.466	15

Structure:
Cell lengths 17.781, 7.796, 5.786 Å; angles 90.00, 90.00, 90.00 degrees
Space group Ima2 (No. 46)
Symmetry-distinct sites (fractional):
1 Li 0.031 0.153 0.000
2 Cd 0.110 0.721 0.749
3 Cd 0.159 0.248 0.251
4 Cd 0.250 0.546 0.502
5 Hg 0.000 0.000 0.539
6 Hg 0.250 0.557 0.007



For LiSi2Ag8O8, a crystal structure in Alexandria, relaxed with GGA-PBE gives the theoretical powder X-ray diffraction pattern in this record (Cu Kα (weighted mean of Kα1 and Kα2)).

Peak list (10 most intense, 2θ from 10° to 90°, by intensity)
(hkl)	d (Å)	intensity
2 1 1	2.813	100
1 3 0	2.415	22
1 3 2	1.730	16
5 0 1	1.460	12
1 1 0	5.401	11
0 0 2	2.480	9
2 5 1	1.364	9
4 2 0	1.708	8
3 2 1	1.948	7
2 2 1	2.372	6

Structure:
Cell lengths 7.638, 7.638, 4.960 Å; angles 90.00, 90.00, 90.00 degrees
Space group P-4 (No. 81)
Symmetry-distinct sites (fractional):
1 Li 0.000 0.000 0.000
2 Si 0.000 0.000 0.500
3 Si 0.500 0.500 0.000
4 Ag 0.120 0.350 0.077
5 Ag 0.187 0.611 0.512
6 O 0.055 0.839 0.293
7 O 0.328 0.448 0.810



For PmSm7Dy3, a crystal structure in Alexandria, relaxed with GGA-PBE gives the theoretical powder X-ray diffraction pattern in this record (Cu Kα (weighted mean of Kα1 and Kα2)).

Peak list (10 most intense, 2θ from 10° to 90°, by intensity)
(hkl)	d (Å)	intensity
1 3 1	2.859	100
2 0 -2	2.929	89
4 0 0	2.919	79
3 3 -1	2.424	69
2 0 2	2.690	59
4 6 0	1.461	38
5 3 1	1.798	24
1 3 -3	1.803	24
6 0 -2	1.742	18
2 6 2	1.429	17

Structure:
Cell lengths 11.735, 10.124, 6.420 Å; angles 90.00, 95.80, 90.00 degrees
Space group C2/m (No. 12)
Symmetry-distinct sites (fractional):
1 Pm 0.000 0.000 0.000
2 Sm 0.000 0.000 0.500
3 Sm 0.236 0.500 0.712
4 Sm 0.250 0.174 0.760
5 Dy 0.000 0.330 0.500
6 Dy 0.000 0.500 0.000